Structure and computed powder diffractogram of Zn4Os3 (a cell relaxed with GGA-PBE; a wavelength of 1.5418 Å).
Kinematic intensities with the Lorentz-polarization factor, no thermal factor.

Peak list (8 most intense, 10 to 90 degrees two-theta, in order of rising 2θ)
(1 0 0), 2θ = 14.21°, d = 6.233 Å, intensity 36
(2 1 0), 2θ = 38.20°, d = 2.356 Å, intensity 24
(0 0 2), 2θ = 40.56°, d = 2.224 Å, intensity 26
(2 1 1), 2θ = 43.47°, d = 2.082 Å, intensity 100
(2 1 2), 2θ = 56.94°, d = 1.617 Å, intensity 15
(1 4 0), 2θ = 69.04°, d = 1.360 Å, intensity 16
(2 1 3), 2θ = 75.81°, d = 1.255 Å, intensity 19
(1 4 2), 2θ = 83.27°, d = 1.160 Å, intensity 17

```
data_Zn4Os3
_space_group_name_H-M_alt 'P 63/m'
_space_group_IT_number 176
_space_group_name_Hall '-P 6c'
_cell_length_a 7.1975
_cell_length_b 7.1975
_cell_length_c 4.4483
_cell_angle_alpha 90.00
_cell_angle_beta 90.00
_cell_angle_gamma 120.00
loop_
_atom_site_label
_atom_site_type_symbol
_atom_site_fract_x
_atom_site_fract_y
_atom_site_fract_z
_atom_site_occupancy
Zn1 Zn 0.0823 0.4657 0.2500 1
Zn2 Zn 0.3333 0.6667 0.7500 1
Os1 Os 0.0303 0.2320 0.7500 1
```